Calculated powder diffraction line list of YCo4Si for a wavelength of 1.5418 Å, from a cell relaxed with GGA-PBE.

Crystal structure
Cell lengths 5.0759, 5.0759, 3.7186 Å; angles 90.00, 90.00, 120.00 degrees
Space group P-6m2 (No. 187)
Unique sites:
Y 0.0000 0.0000 0.0000 (multiplicity 1)
Co 0.0000 0.5000 0.5000 (multiplicity 3)
Co 0.6667 0.3333 0.0000 (multiplicity 1)
Si 0.3333 0.6667 0.0000 (multiplicity 1)

Top 12 peaks for 10 to 80 degrees two-theta, low angle first:
20.2 deg, d = 4.396 Å, rel. 7, hkl 1 0 0
31.5 deg, d = 2.839 Å, rel. 51, hkl 1 0 1
35.4 deg, d = 2.538 Å, rel. 21, hkl 1 1 0
41.1 deg, d = 2.198 Å, rel. 53, hkl 2 0 0
43.2 deg, d = 2.096 Å, rel. 100, hkl 1 1 1
48.1 deg, d = 1.892 Å, rel. 25, hkl 2 0 1
49.0 deg, d = 1.859 Å, rel. 26, hkl 0 0 2
61.1 deg, d = 1.517 Å, rel. 14, hkl 2 1 1
61.9 deg, d = 1.500 Å, rel. 8, hkl 1 1 2
65.8 deg, d = 1.420 Å, rel. 24, hkl 2 0 2
68.9 deg, d = 1.363 Å, rel. 23, hkl 3 0 1
74.8 deg, d = 1.269 Å, rel. 20, hkl 2 2 0